# Pa4Te2N
Simulated X-ray diffraction stick pattern, Cu Ka. Input: a cell relaxed with GGA-PBE.
Peak positions follow from Bragg's law for the DFT cell and can differ from measured ones.

Structure:
Cell lengths 8.497, 8.497, 8.497 Å; angles 148.30, 148.30, 45.44 degrees
Positions (direct):
Pa: 0.000 0.500 0.500
Pa: 0.152 0.152 0.000
Pa: 0.500 0.000 0.500
Pa: 0.848 0.848 0.000
Te: 0.353 0.353 0.000
Te: 0.647 0.647 0.000
N: 0.000 0.000 0.000

Largest 6 diffraction maxima, by intensity, 2θ = 15–90°:
2θ/deg  intensity
35.69  100
29.51  70
38.81  54
52.76  35
68.24  31
34.33  30

# Ba2HoCu2O6
Simulated X-ray diffraction stick pattern, Cu Ka. Input: a cell relaxed with GGA-PBE.
Peak positions follow from Bragg's law for the DFT cell and can differ from measured ones.

Structure:
Cell lengths 6.779, 6.779, 6.779 Å; angles 52.88, 52.88, 52.88 degrees
Positions (direct):
Ba: 0.216 0.216 0.216
Ba: 0.784 0.784 0.784
Ho: 0.000 0.000 0.000
Cu: 0.421 0.421 0.421
Cu: 0.579 0.579 0.579
O: 0.232 0.755 0.755
O: 0.245 0.245 0.768
O: 0.245 0.768 0.245
O: 0.755 0.232 0.755
O: 0.755 0.755 0.232
O: 0.768 0.245 0.245

Largest 6 diffraction maxima, by intensity, 2θ = 15–90°:
2θ/deg  intensity
29.59  100
30.81  81
53.28  35
43.25  33
26.62  27
56.42  22

# Tb3NdAl4
Simulated X-ray diffraction stick pattern, Cu Ka. Input: a cell relaxed with GGA-PBE.
Peak positions follow from Bragg's law for the DFT cell and can differ from measured ones.

Structure:
Cell lengths 5.149, 5.149, 7.313 Å; angles 90.00, 90.00, 90.00 degrees
Positions (direct):
Tb: 0.000 0.000 0.000
Tb: 0.000 0.000 0.500
Tb: 0.500 0.500 0.000
Nd: 0.500 0.500 0.500
Al: 0.000 0.500 0.244
Al: 0.000 0.500 0.756
Al: 0.500 0.000 0.244
Al: 0.500 0.000 0.756

Largest 6 diffraction maxima, by intensity, 2θ = 15–90°:
2θ/deg  intensity
34.80  100
24.45  40
62.43  24
24.34  20
42.96  18
56.49  17

# Tb2Ga5Ni4
Simulated X-ray diffraction stick pattern, Cu Ka. Input: a cell relaxed with GGA-PBE.
Peak positions follow from Bragg's law for the DFT cell and can differ from measured ones.

Structure:
Cell lengths 8.883, 8.107, 5.199 Å; angles 80.54, 64.19, 35.27 degrees
Positions (direct):
Tb: 0.132 0.132 0.868
Tb: 0.868 0.868 0.132
Ga: 0.000 0.000 0.500
Ga: 0.250 0.250 0.250
Ga: 0.500 0.500 0.000
Ga: 0.500 0.500 0.500
Ga: 0.750 0.750 0.750
Ni: 0.213 0.526 0.474
Ni: 0.474 0.787 0.213
Ni: 0.526 0.213 0.787
Ni: 0.787 0.474 0.526

Largest 6 diffraction maxima, by intensity, 2θ = 15–90°:
2θ/deg  intensity
38.87  100
41.62  94
30.68  65
39.71  59
35.02  54
26.25  45

# AgSb2Pd2
Simulated X-ray diffraction stick pattern, Cu Ka. Input: a cell relaxed with GGA-PBE.
Peak positions follow from Bragg's law for the DFT cell and can differ from measured ones.

Structure:
Cell lengths 4.347, 4.890, 5.503 Å; angles 85.05, 89.82, 63.72 degrees
Positions (direct):
Ag: 0.000 0.000 0.000
Sb: 0.364 0.274 0.691
Sb: 0.636 0.726 0.309
Pd: 0.309 0.377 0.189
Pd: 0.691 0.623 0.811

Largest 6 diffraction maxima, by intensity, 2θ = 15–90°:
2θ/deg  intensity
39.42  100
37.22  52
37.14  51
41.54  46
40.50  41
22.85  22

# RbTlPb2O4
Simulated X-ray diffraction stick pattern, Cu Ka. Input: a cell relaxed with GGA-PBE.
Peak positions follow from Bragg's law for the DFT cell and can differ from measured ones.

Structure:
Cell lengths 7.515, 7.515, 7.515 Å; angles 122.59, 117.88, 89.64 degrees
Positions (direct):
Rb: 0.500 0.000 0.000
Rb: 0.500 0.500 0.500
Tl: 0.000 0.000 0.000
Tl: 0.500 0.000 0.500
Pb: 0.000 0.000 0.500
Pb: 0.000 0.500 0.000
Pb: 0.000 0.500 0.500
Pb: 0.500 0.500 0.000
O: 0.188 0.742 0.446
O: 0.204 0.258 0.946
O: 0.206 0.225 0.519
O: 0.206 0.687 0.981
O: 0.794 0.313 0.019
O: 0.794 0.775 0.481
O: 0.796 0.742 0.054
O: 0.812 0.258 0.554

Largest 6 diffraction maxima, by intensity, 2θ = 15–90°:
2θ/deg  intensity
28.47  100
33.93  84
29.90  81
48.52  58
33.63  42
56.59  31

# DyH4Rh3
Simulated X-ray diffraction stick pattern, Cu Ka. Input: a cell relaxed with GGA-PBE.
Peak positions follow from Bragg's law for the DFT cell and can differ from measured ones.

Structure:
Cell lengths 5.388, 5.388, 5.388 Å; angles 90.00, 90.00, 90.00 degrees
Positions (direct):
Dy: 0.000 0.000 0.000
Dy: 0.500 0.500 0.500
H: 0.250 0.250 0.250
H: 0.250 0.250 0.750
H: 0.250 0.750 0.250
H: 0.250 0.750 0.750
H: 0.750 0.250 0.250
H: 0.750 0.250 0.750
H: 0.750 0.750 0.250
H: 0.750 0.750 0.750
Rh: 0.000 0.250 0.500
Rh: 0.000 0.750 0.500
Rh: 0.250 0.500 0.000
Rh: 0.500 0.000 0.250
Rh: 0.500 0.000 0.750
Rh: 0.750 0.500 0.000

Largest 6 diffraction maxima, by intensity, 2θ = 15–90°:
2θ/deg  intensity
41.03  100
37.32  82
64.73  52
33.25  43
62.11  18
69.82  16